# MnCdS2
Theoretical X-ray diffraction stick pattern, CuKα. Input: a PBE-relaxed structure.
No peak broadening, texture or thermal motion is included.

abc: 4.100 4.100 6.644
angles: 90.00 90.00 120.00
Element x y z (fractional)
Mn 0.000 0.000 0.000
Cd 0.667 0.333 0.497
S 0.000 0.000 0.637
S 0.667 0.333 0.110

The 12 most intense peaks (10 to 90 degrees two-theta), by intensity:
(hkl)  two_theta  d (Å)  intensity
0 1 1  28.5  3.131  1000
1 0 0  25.1  3.550  845
1 0 3  48.4  1.879  580
1 1 0  44.2  2.050  579
0 0 2  26.8  3.322  471
0 1 2  37.1  2.426  421
1 1 2  52.5  1.744  404
1 0 5  76.6  1.244  231
2 1 3  84.4  1.148  219
0 2 3  67.6  1.385  201
0 0 1  13.3  6.644  192
2 0 1  53.4  1.715  166